YTl2In2: theoretical XRD peak list (CuKα), based on a crystal structure in Alexandria, relaxed with PBE.
Peak positions follow from Bragg's law for the DFT cell and can differ from measured ones.

Structural model:
Lattice parameters (Å, degrees): 8.447 8.447 3.945 90.00 90.00 90.00
Space group P4/mbm (No. 127)
Symmetry-distinct sites (fractional):
Y1 0.000 0.000 0.000
Tl1 0.174 0.326 0.500
In1 0.127 0.627 0.000

Most intense lines, 2θ from 10° to 80°, sorted by position:
(1 1 0), 14.83°, d 5.973, rel. 8.9
(2 0 1), 31.02°, d 2.883, rel. 27.3
(2 1 1), 32.82°, d 2.728, rel. 100.0
(3 1 0), 33.55°, d 2.671, rel. 34.9
(4 1 0), 44.21°, d 2.049, rel. 11.2
(3 3 0), 45.56°, d 1.991, rel. 8.9
(0 0 2), 46.01°, d 1.972, rel. 12.2
(4 1 1), 50.18°, d 1.818, rel. 17.3
(3 3 1), 51.41°, d 1.777, rel. 8.8
(3 1 2), 58.14°, d 1.587, rel. 14.2
(5 2 1), 63.86°, d 1.458, rel. 12.1
(2 1 3), 76.74°, d 1.242, rel. 8.7



Pm8Ho4Tm3: theoretical XRD peak list (CuKα), based on a crystal structure in Alexandria, relaxed with PBE.
Peak positions follow from Bragg's law for the DFT cell and can differ from measured ones.

Structural model:
Lattice parameters (Å, degrees): 13.631 12.121 6.850 90.00 117.72 90.00
Space group C2/m (No. 12)
Symmetry-distinct sites (fractional):
Pm1 0.000 0.205 0.000
Pm2 0.000 0.253 0.500
Pm3 0.202 0.000 0.172
Pm4 0.244 0.500 0.291
Ho1 0.000 0.500 0.000
Ho2 0.000 0.500 0.500
Ho3 0.250 0.250 0.000
Tm1 0.000 0.000 0.500
Tm2 0.250 0.250 0.500

Most intense lines, 2θ from 10° to 80°, sorted by position:
(2 0 -2), 26.04°, d 3.422, rel. 18.8
(0 4 0), 29.47°, d 3.031, rel. 100.0
(4 0 0), 29.61°, d 3.017, rel. 70.4
(2 2 -2), 29.98°, d 2.981, rel. 42.7
(4 0 -2), 30.57°, d 2.924, rel. 21.2
(0 2 2), 33.04°, d 2.711, rel. 33.2
(4 2 -2), 34.04°, d 2.634, rel. 32.1
(2 4 -2), 39.77°, d 2.267, rel. 14.2
(0 4 2), 42.16°, d 2.144, rel. 16.4
(4 4 0), 42.27°, d 2.138, rel. 45.6
(4 4 -2), 42.98°, d 2.104, rel. 13.4
(4 4 -4), 62.32°, d 1.490, rel. 13.4